[1]
Ce2PmTeO4: computed XRD peak list (λ = 1.5418 Å (Cu Kα)), based on a crystal structure in Alexandria, relaxed with GGA-PBE.
Peak positions follow from Bragg's law for the DFT cell and can differ from measured ones.

Atomic structure:
```
data_Ce2PmTeO4
_chemical_formula_sum 'Ce2 Pm1 Te1 O4'
_cell_length_a 3.9920
_cell_length_b 3.9920
_cell_length_c 9.2309
_cell_angle_alpha 90.00
_cell_angle_beta 90.00
_cell_angle_gamma 90.00
_symmetry_space_group_name_H-M 'P 4/m m m'
_symmetry_Int_Tables_number 123
_symmetry_space_group_name_Hall '-P 4 2'
loop_
_atom_site_label
_atom_site_fract_x
_atom_site_fract_y
_atom_site_fract_z
Ce1 0.0000 0.0000 0.2285
Pm1 0.5000 0.5000 0.5000
Te1 0.5000 0.5000 0.0000
O1 0.0000 0.5000 0.3440
```

Top 12 peaks for 10 to 80 degrees two-theta, sorted by position:
(1 0 2), 2θ = 29.6°, 3.019 Å, rel. 100
(1 1 0), 2θ = 31.7°, 2.823 Å, rel. 33
(0 0 4), 2θ = 39.0°, 2.308 Å, rel. 9
(2 0 0), 2θ = 45.4°, 1.996 Å, rel. 20
(1 1 4), 2θ = 51.1°, 1.787 Å, rel. 23
(2 1 2), 2θ = 55.2°, 1.665 Å, rel. 35
(2 0 4), 2θ = 61.4°, 1.510 Å, rel. 10
(1 0 6), 2θ = 65.0°, 1.436 Å, rel. 8
(2 2 0), 2θ = 66.2°, 1.411 Å, rel. 6
(3 0 2), 2θ = 74.2°, 1.279 Å, rel. 7
(3 1 0), 2θ = 75.3°, 1.262 Å, rel. 6
(2 2 4), 2θ = 79.6°, 1.204 Å, rel. 5


[2]
Ni2Sb2W: computed XRD peak list (λ = 1.5418 Å (Cu Kα)), based on a crystal structure in Alexandria, relaxed with GGA-PBE.
Peak positions follow from Bragg's law for the DFT cell and can differ from measured ones.

Atomic structure:
```
data_Ni2Sb2W
_chemical_formula_sum 'Ni4 Sb4 W2'
_cell_length_a 6.8869
_cell_length_b 6.8869
_cell_length_c 3.4395
_cell_angle_alpha 90.00
_cell_angle_beta 90.00
_cell_angle_gamma 90.00
_symmetry_space_group_name_H-M 'P 4/m b m'
_symmetry_Int_Tables_number 127
_symmetry_space_group_name_Hall '-P 4 2ab'
loop_
_atom_site_label
_atom_site_fract_x
_atom_site_fract_y
_atom_site_fract_z
Ni1 0.1230 0.3770 0.0000
Sb1 0.1790 0.6790 0.5000
W1 0.0000 0.0000 0.0000
```

Top 12 peaks for 10 to 80 degrees two-theta, sorted by position:
(1 1 1), 2θ = 31.9°, 2.809 Å, rel. 25
(2 0 1), 2θ = 36.9°, 2.434 Å, rel. 100
(2 1 1), 2θ = 39.3°, 2.294 Å, rel. 76
(3 1 0), 2θ = 41.5°, 2.178 Å, rel. 57
(3 1 1), 2θ = 49.5°, 1.840 Å, rel. 12
(0 0 2), 2θ = 53.3°, 1.720 Å, rel. 17
(4 1 0), 2θ = 55.0°, 1.670 Å, rel. 11
(4 1 1), 2θ = 61.7°, 1.502 Å, rel. 14
(3 3 1), 2θ = 63.4°, 1.468 Å, rel. 17
(2 2 2), 2θ = 66.6°, 1.405 Å, rel. 14
(3 1 2), 2θ = 69.7°, 1.350 Å, rel. 27
(5 1 1), 2θ = 75.6°, 1.257 Å, rel. 18


[3]
SmY3Pt: computed XRD peak list (λ = 1.5418 Å (Cu Kα)), based on a crystal structure in Alexandria, relaxed with GGA-PBE.
Peak positions follow from Bragg's law for the DFT cell and can differ from measured ones.

Atomic structure:
```
data_SmY3Pt
_chemical_formula_sum 'Sm2 Y6 Pt2'
_cell_length_a 6.4881
_cell_length_b 5.1318
_cell_length_c 8.7899
_cell_angle_alpha 90.00
_cell_angle_beta 96.47
_cell_angle_gamma 90.00
_symmetry_space_group_name_H-M 'P 1 21/m 1'
_symmetry_Int_Tables_number 11
loop_
_symmetry_equiv_pos_as_xyz
'x,y,z'
'-x,-y,-z'
'-x,y+1/2,-z'
'x,-y+1/2,z'
loop_
_atom_site_label
_atom_site_fract_x
_atom_site_fract_y
_atom_site_fract_z
Sm1 0.1078 0.2500 0.2826
Y1 0.2306 0.2500 0.7443
Y2 0.2856 0.7500 0.0560
Y3 0.3226 0.7500 0.4792
Pt1 0.4686 0.7500 0.7883
```

Top 12 peaks for 10 to 80 degrees two-theta, sorted by position:
(1 0 0), 2θ = 13.7°, 6.447 Å, rel. 29
(0 1 1), 2θ = 20.1°, 4.425 Å, rel. 65
(0 0 2), 2θ = 20.3°, 4.367 Å, rel. 47
(1 1 2), 2θ = 31.3°, 2.857 Å, rel. 100
(1 0 -3), 2θ = 32.3°, 2.773 Å, rel. 36
(2 1 0), 2θ = 32.8°, 2.730 Å, rel. 62
(2 1 -1), 2θ = 33.4°, 2.679 Å, rel. 67
(0 2 0), 2θ = 35.0°, 2.566 Å, rel. 79
(0 1 3), 2θ = 35.4°, 2.535 Å, rel. 66
(1 2 -3), 2θ = 48.3°, 1.883 Å, rel. 29
(2 3 -1), 2θ = 61.8°, 1.502 Å, rel. 22
(3 2 2), 2θ = 61.9°, 1.499 Å, rel. 21


[4]
LiZn2Fe: computed XRD peak list (λ = 1.5418 Å (Cu Kα)), based on a crystal structure in Alexandria, relaxed with GGA-PBE.
Peak positions follow from Bragg's law for the DFT cell and can differ from measured ones.

Atomic structure:
```
data_LiZn2Fe
_chemical_formula_sum 'Li1 Zn2 Fe1'
_cell_length_a 2.6195
_cell_length_b 2.6195
_cell_length_c 8.0730
_cell_angle_alpha 90.00
_cell_angle_beta 90.00
_cell_angle_gamma 90.00
_symmetry_space_group_name_H-M 'P 4 m m'
_symmetry_Int_Tables_number 99
loop_
_symmetry_equiv_pos_as_xyz
'x,y,z'
'-y,x,z'
'-x,-y,z'
'y,-x,z'
'-x,y,z'
'y,x,z'
'x,-y,z'
'-y,-x,z'
loop_
_atom_site_label
_atom_site_fract_x
_atom_site_fract_y
_atom_site_fract_z
Li1 0.0000 0.0000 0.0000
Zn1 0.0000 0.0000 0.5150
Zn2 0.5000 0.5000 0.2535
Fe1 0.5000 0.5000 0.7439
```

Top 12 peaks for 10 to 80 degrees two-theta, sorted by position:
(0 0 1), 2θ = 11.0°, 8.073 Å, rel. 70
(0 0 2), 2θ = 22.0°, 4.036 Å, rel. 10
(0 0 3), 2θ = 33.3°, 2.691 Å, rel. 4
(1 0 0), 2θ = 34.2°, 2.619 Å, rel. 6
(1 0 1), 2θ = 36.0°, 2.492 Å, rel. 15
(1 0 2), 2θ = 41.1°, 2.197 Å, rel. 100
(0 0 4), 2θ = 44.9°, 2.018 Å, rel. 19
(1 0 3), 2θ = 48.5°, 1.877 Å, rel. 8
(1 1 0), 2θ = 49.2°, 1.852 Å, rel. 29
(1 1 1), 2θ = 50.6°, 1.805 Å, rel. 6
(1 1 4), 2θ = 68.8°, 1.365 Å, rel. 19
(2 0 0), 2θ = 72.1°, 1.310 Å, rel. 9


[5]
Hf3ZnGa4: computed XRD peak list (λ = 1.5418 Å (Cu Kα)), based on a crystal structure in Alexandria, relaxed with GGA-PBE.
Peak positions follow from Bragg's law for the DFT cell and can differ from measured ones.

Atomic structure:
```
data_Hf3ZnGa4
_chemical_formula_sum 'Hf6 Zn2 Ga8'
_cell_length_a 9.0502
_cell_length_b 5.6066
_cell_length_c 5.6400
_cell_angle_alpha 90.00
_cell_angle_beta 90.00
_cell_angle_gamma 90.00
_symmetry_space_group_name_H-M 'P m n 21'
_symmetry_Int_Tables_number 31
loop_
_symmetry_equiv_pos_as_xyz
'x,y,z'
'-x+1/2,-y,z+1/2'
'-x,y,z'
'x+1/2,-y,z+1/2'
loop_
_atom_site_label
_atom_site_fract_x
_atom_site_fract_y
_atom_site_fract_z
Hf1 0.0000 0.0995 0.0000
Hf2 0.2246 0.6669 0.7644
Zn1 0.0000 0.4178 0.5210
Ga1 0.0000 0.5793 0.0832
Ga2 0.0000 0.9561 0.5028
Ga3 0.2361 0.8303 0.2496
```

Top 12 peaks for 10 to 80 degrees two-theta, sorted by position:
(0 1 1), 2θ = 22.4°, 3.976 Å, rel. 13
(2 1 0), 2θ = 25.3°, 3.521 Å, rel. 13
(2 1 1), 2θ = 29.9°, 2.987 Å, rel. 21
(3 1 0), 2θ = 33.7°, 2.658 Å, rel. 18
(0 2 1), 2θ = 35.8°, 2.510 Å, rel. 44
(2 0 2), 2θ = 37.6°, 2.393 Å, rel. 100
(2 2 0), 2θ = 37.7°, 2.383 Å, rel. 27
(4 0 0), 2θ = 39.8°, 2.263 Å, rel. 40
(2 2 1), 2θ = 41.1°, 2.195 Å, rel. 63
(0 2 2), 2θ = 45.6°, 1.988 Å, rel. 15
(4 2 1), 2θ = 54.6°, 1.681 Å, rel. 25
(2 2 3), 2θ = 63.0°, 1.476 Å, rel. 13


[6]
TbNdLu2: computed XRD peak list (λ = 1.5418 Å (Cu Kα)), based on a crystal structure in Alexandria, relaxed with GGA-PBE.
Peak positions follow from Bragg's law for the DFT cell and can differ from measured ones.

Atomic structure:
```
data_TbNdLu2
_chemical_formula_sum 'Tb1 Nd1 Lu2'
_cell_length_a 3.5553
_cell_length_b 3.5553
_cell_length_c 9.9319
_cell_angle_alpha 90.00
_cell_angle_beta 90.00
_cell_angle_gamma 90.00
_symmetry_space_group_name_H-M 'P 4/m m m'
_symmetry_Int_Tables_number 123
_symmetry_space_group_name_Hall '-P 4 2'
loop_
_atom_site_label
_atom_site_fract_x
_atom_site_fract_y
_atom_site_fract_z
Tb1 0.0000 0.0000 0.0000
Nd1 0.0000 0.0000 0.5000
Lu1 0.5000 0.5000 0.2461
```

Top 10 peaks for 10 to 80 degrees two-theta, sorted by position:
(1 0 2), 2θ = 30.9°, 2.891 Å, rel. 100
(1 1 0), 2θ = 35.7°, 2.514 Å, rel. 34
(0 0 4), 2θ = 36.2°, 2.483 Å, rel. 16
(2 0 0), 2θ = 51.4°, 1.778 Å, rel. 12
(1 1 4), 2θ = 51.7°, 1.767 Å, rel. 24
(2 1 2), 2θ = 61.2°, 1.514 Å, rel. 29
(1 0 6), 2θ = 61.8°, 1.501 Å, rel. 14
(2 0 4), 2θ = 64.5°, 1.445 Å, rel. 12
(2 2 0), 2θ = 75.7°, 1.257 Å, rel. 4
(0 0 8), 2θ = 76.8°, 1.241 Å, rel. 2


[7]
LiCaTeSeF: computed XRD peak list (λ = 1.5418 Å (Cu Kα)), based on a crystal structure in Alexandria, relaxed with GGA-PBE.
Peak positions follow from Bragg's law for the DFT cell and can differ from measured ones.

Atomic structure:
```
data_LiCaTeSeF
_chemical_formula_sum 'Li2 Ca2 Te2 Se2 F2'
_cell_length_a 11.1711
_cell_length_b 4.3647
_cell_length_c 5.9997
_cell_angle_alpha 90.00
_cell_angle_beta 121.60
_cell_angle_gamma 90.00
_symmetry_space_group_name_H-M 'C 1 m 1'
_symmetry_Int_Tables_number 8
loop_
_symmetry_equiv_pos_as_xyz
'x,y,z'
'x,-y,z'
'x+1/2,y+1/2,z'
'x+1/2,-y+1/2,z'
loop_
_atom_site_label
_atom_site_fract_x
_atom_site_fract_y
_atom_site_fract_z
Li1 0.0000 0.0000 0.0000
Ca1 0.4060 0.0000 0.5176
Te1 0.1462 0.5000 0.3750
Se1 0.3781 0.0000 0.9968
F1 0.4704 0.5000 0.6616
```

Top 12 peaks for 10 to 80 degrees two-theta, sorted by position:
(0 0 1), 2θ = 17.4°, 5.110 Å, rel. 29
(2 0 -1), 2θ = 17.6°, 5.040 Å, rel. 65
(1 1 0), 2θ = 22.4°, 3.967 Å, rel. 93
(1 1 -1), 2θ = 25.2°, 3.529 Å, rel. 100
(2 0 -2), 2θ = 29.8°, 2.999 Å, rel. 45
(2 0 1), 2θ = 31.7°, 2.822 Å, rel. 41
(4 0 -1), 2θ = 32.1°, 2.786 Å, rel. 22
(3 1 0), 2θ = 35.0°, 2.566 Å, rel. 58
(3 1 -2), 2θ = 37.7°, 2.385 Å, rel. 59
(4 0 0), 2θ = 37.8°, 2.379 Å, rel. 29
(0 2 0), 2θ = 41.4°, 2.182 Å, rel. 32
(1 1 2), 2θ = 46.3°, 1.963 Å, rel. 63


Number 3 is which compound?
SmY3Pt


What is the formula in the fifth record?
Hf3ZnGa4